1.
Theoretical powder X-ray diffraction pattern
Compound: RbPrSi2O6
Radiation: Cu Kα (weighted mean of Kα1 and Kα2)
Structure: a crystal structure in Alexandria, relaxed with PBE

Unit cell a=7.4497 b=7.4497 c=5.4646 alpha=97.16 beta=97.16 gamma=89.06
Atoms (fractional coordinates):
Rb 0.1686 0.8314 0.7500
Rb 0.8314 0.1686 0.2500
Pr 0.3764 0.6236 0.2500
Pr 0.6236 0.3764 0.7500
Si 0.1434 0.3034 0.7894
Si 0.3034 0.1434 0.2894
Si 0.6966 0.8566 0.7106
Si 0.8566 0.6966 0.2106
O 0.0643 0.6313 0.2572
O 0.1649 0.1821 0.0322
O 0.1821 0.1649 0.5322
O 0.3065 0.4534 0.8458
O 0.3687 0.9357 0.2428
O 0.4534 0.3065 0.3458
O 0.5466 0.6935 0.6542
O 0.6313 0.0643 0.7572
O 0.6935 0.5466 0.1542
O 0.8179 0.8351 0.4678
O 0.8351 0.8179 0.9678
O 0.9357 0.3687 0.7428

Peak list (6 most intense, 2θ from 10° to 90°, most intense first)
2θ = 27.54°, rel. 1000
2θ = 31.00°, rel. 756
2θ = 16.96°, rel. 413
2θ = 33.31°, rel. 350
2θ = 23.74°, rel. 321
2θ = 39.55°, rel. 260

=====

2.
Theoretical powder X-ray diffraction pattern
Compound: Pm2CdAg5
Radiation: Cu Kα (weighted mean of Kα1 and Kα2)
Structure: a crystal structure in Alexandria, relaxed with PBE

Unit cell a=9.0256 b=9.0256 c=10.0710 alpha=90.00 beta=90.00 gamma=153.09
Atoms (fractional coordinates):
Pm 0.0000 0.0000 0.0000
Pm 0.0000 0.0000 0.5000
Pm 0.1874 0.8126 0.7500
Pm 0.8126 0.1874 0.2500
Cd 0.4629 0.5371 0.2500
Cd 0.5371 0.4629 0.7500
Ag 0.2052 0.7948 0.1038
Ag 0.2052 0.7948 0.3962
Ag 0.3657 0.6343 0.0293
Ag 0.3657 0.6343 0.4707
Ag 0.3802 0.6198 0.7500
Ag 0.6198 0.3802 0.2500
Ag 0.6343 0.3657 0.5293
Ag 0.6343 0.3657 0.9707
Ag 0.7948 0.2052 0.6038
Ag 0.7948 0.2052 0.8962

Peak list (6 most intense, 2θ from 10° to 90°, most intense first)
2θ = 33.26°, rel. 1000
2θ = 31.67°, rel. 958
2θ = 34.58°, rel. 938
2θ = 43.06°, rel. 723
2θ = 40.91°, rel. 538
2θ = 60.91°, rel. 316

=====

3.
Theoretical powder X-ray diffraction pattern
Compound: CsRb3Br4
Radiation: Cu Kα (weighted mean of Kα1 and Kα2)
Structure: a crystal structure in Alexandria, relaxed with PBE

Unit cell a=8.6873 b=8.6873 c=5.0162 alpha=90.00 beta=90.00 gamma=109.42
Atoms (fractional coordinates):
Cs 0.0000 0.0000 0.0000
Rb 0.0000 0.5000 0.5000
Rb 0.5000 0.0000 0.5000
Rb 0.5000 0.5000 0.0000
Br 0.2543 0.7457 0.0000
Br 0.2597 0.2597 0.5000
Br 0.7403 0.7403 0.5000
Br 0.7457 0.2543 0.0000

Peak list (6 most intense, 2θ from 10° to 90°, most intense first)
2θ = 25.11°, rel. 1000
2θ = 35.80°, rel. 775
2θ = 58.15°, rel. 366
2θ = 44.23°, rel. 280
2θ = 64.33°, rel. 269
2θ = 81.39°, rel. 174

=====

4.
Theoretical powder X-ray diffraction pattern
Compound: CaUBiO2
Radiation: Cu Kα (weighted mean of Kα1 and Kα2)
Structure: a crystal structure in Alexandria, relaxed with PBE

Unit cell a=7.1902 b=7.1902 c=7.1902 alpha=148.48 beta=148.48 gamma=45.17
Atoms (fractional coordinates):
Ca 0.0000 0.0000 0.0000
U 0.3242 0.3242 0.0000
Bi 0.6637 0.6637 0.0000
O 0.3996 0.8996 0.5000
O 0.8996 0.3996 0.5000

Peak list (6 most intense, 2θ from 10° to 90°, most intense first)
2θ = 30.53°, rel. 1000
2θ = 32.42°, rel. 370
2θ = 56.66°, rel. 359
2θ = 53.03°, rel. 239
2θ = 13.34°, rel. 236
2θ = 23.75°, rel. 226

=====

5.
Theoretical powder X-ray diffraction pattern
Compound: Li2SiMo
Radiation: Cu Kα (weighted mean of Kα1 and Kα2)
Structure: a crystal structure in Alexandria, relaxed with PBE

Unit cell a=2.6804 b=4.7786 c=4.4796 alpha=90.00 beta=93.65 gamma=90.00
Atoms (fractional coordinates):
Li 0.1927 0.0000 0.2433
Li 0.8073 0.0000 0.7567
Si 0.0000 0.5000 0.5000
Mo 0.5000 0.5000 0.0000

Peak list (6 most intense, 2θ from 10° to 90°, most intense first)
2θ = 18.57°, rel. 1000
2θ = 44.77°, rel. 456
2θ = 40.37°, rel. 307
2θ = 42.69°, rel. 301
2θ = 19.86°, rel. 286
2θ = 27.32°, rel. 261

=====

6.
Theoretical powder X-ray diffraction pattern
Compound: Na3LaSe4O12
Radiation: Cu Kα (weighted mean of Kα1 and Kα2)
Structure: a crystal structure in Alexandria, relaxed with PBE

Unit cell a=7.1872 b=7.1872 c=7.1872 alpha=106.27 beta=106.27 gamma=106.27
Atoms (fractional coordinates):
Na 0.0000 0.5654 0.4346
Na 0.4346 0.0000 0.5654
Na 0.5654 0.4346 0.0000
La 0.0000 0.0000 0.0000
Se 0.0820 0.5000 0.9180
Se 0.5000 0.5000 0.5000
Se 0.5000 0.9180 0.0820
Se 0.9180 0.0820 0.5000
O 0.0124 0.2139 0.3391
O 0.0642 0.9358 0.5000
O 0.2139 0.3391 0.0124
O 0.3391 0.0124 0.2139
O 0.3574 0.6426 0.5000
O 0.5000 0.0642 0.9358
O 0.5000 0.3574 0.6426
O 0.6426 0.5000 0.3574
O 0.6609 0.7861 0.9876
O 0.7861 0.9876 0.6609
O 0.9358 0.5000 0.0642
O 0.9876 0.6609 0.7861

Peak list (6 most intense, 2θ from 10° to 90°, most intense first)
2θ = 28.08°, rel. 1000
2θ = 15.41°, rel. 397
2θ = 26.02°, rel. 322
2θ = 26.86°, rel. 319
2θ = 45.37°, rel. 308
2θ = 32.18°, rel. 297

=====

Number 5 is which compound? Li2SiMo

=====

What is the formula in the fifth record? Li2SiMo